Structure and computed powder diffraction line list of MnOF (a GGA+U-relaxed structure; Cu Ka).

Main lines, by angle (10 to 90 degrees two-theta):
- 2θ 25.10, intensity 549, (0 1 1)
- 2θ 30.54, intensity 1000, (1 1 1)
- 2θ 35.95, intensity 245, (1 2 0)
- 2θ 41.27, intensity 250, (1 2 1)
- 2θ 43.23, intensity 191, (2 1 1)
- 2θ 52.19, intensity 160, (0 3 1)
- 2θ 53.74, intensity 258, (2 0 2)
- 2θ 54.69, intensity 366, (1 2 2)
- 2θ 62.90, intensity 141, (3 2 0)
- 2θ 66.54, intensity 142, (1 1 3)

Cell and atoms:
```
12
Lattice="5.183 0.000 0.000 0.000 5.702 0.000 0.000 0.000 4.532" Properties=species:S:1:pos:R:3 pbc="T T T"
Mn 1.160 0.564 0.000
Mn 1.432 3.415 2.266
Mn 3.751 2.287 0.000
Mn 4.023 5.138 2.266
O 0.504 4.934 1.305
O 2.087 2.084 3.570
O 3.096 3.618 1.305
O 4.679 0.767 3.570
F 0.191 2.097 1.160
F 2.401 4.948 3.426
F 2.782 0.754 1.160
F 4.992 3.605 3.426
```